Structure and calculated powder XRD pattern of TmThZr14 (a crystal structure in Alexandria, relaxed with GGA-PBE; Cu Kα X-rays).
Kinematic intensities with the Lorentz-polarization factor, no thermal factor.

Principal peaks in the range 2θ = 5–70°, low angle first:
d/Å, 2θ (°), I/Imax, (hkl)
2.902, 30.81, 137, 1 2 2
2.625, 34.15, 120, 2 1 3
2.597, 34.54, 1000, 2 2 2
2.521, 35.62, 435, 4 0 0
2.449, 36.70, 114, 1 0 4
1.894, 48.04, 94, 0 4 0
1.783, 51.23, 86, 4 0 4
1.577, 58.55, 95, 0 3 5
1.514, 61.21, 122, 4 4 0
1.469, 63.32, 155, 6 2 2

Cell and atoms:
a b c (Å): 10.076 7.576 10.098
angles (deg): 90.00 90.00 90.00
Space group Amm2 (No. 38)
Symmetry-distinct sites (fractional):
Tm  0.000  0.000  0.000 (multiplicity 2)
Th  0.000  0.000  0.436 (multiplicity 2)
Zr  0.000  0.205  0.717 (multiplicity 4)
Zr  0.249  0.000  0.235 (multiplicity 4)
Zr  0.261  0.000  0.782 (multiplicity 4)
Zr  0.263  0.220  0.509 (multiplicity 8)
Zr  0.500  0.000  0.020 (multiplicity 2)
Zr  0.500  0.000  0.577 (multiplicity 2)
Zr  0.500  0.216  0.294 (multiplicity 4)


Structure and calculated powder XRD pattern of Ho2TmSe2S2 (a crystal structure in Alexandria, relaxed with GGA-PBE; Cu Kα X-rays).
Kinematic intensities with the Lorentz-polarization factor, no thermal factor.

Principal peaks in the range 2θ = 5–70°, low angle first:
d/Å, 2θ (°), I/Imax, (hkl)
7.180, 12.33, 160, 0 0 2
3.541, 25.15, 1000, 1 1 0
3.460, 25.75, 284, 1 0 3
2.504, 35.86, 603, 2 0 0
2.491, 36.05, 789, 1 0 5
2.029, 44.67, 135, 2 1 3
1.771, 51.62, 211, 2 2 0
1.766, 51.76, 562, 2 1 5
1.584, 58.26, 202, 3 1 0
1.443, 64.57, 144, 3 0 5

Cell and atoms:
a b c (Å): 5.008 5.008 14.359
angles (deg): 90.00 90.00 90.00
Space group I4/mmm (No. 139)
Symmetry-distinct sites (fractional):
Ho  0.000  0.000  0.120 (multiplicity 4)
Tm  0.000  0.000  0.500 (multiplicity 2)
Se  0.000  0.000  0.310 (multiplicity 4)
S  0.000  0.500  0.000 (multiplicity 4)


Structure and calculated powder XRD pattern of U2OsAu (a crystal structure in Alexandria, relaxed with GGA-PBE; Cu Kα X-rays).
Kinematic intensities with the Lorentz-polarization factor, no thermal factor.

Principal peaks in the range 2θ = 5–70°, low angle first:
d/Å, 2θ (°), I/Imax, (hkl)
8.591, 10.30, 24, 0 0 1
2.864, 31.23, 23, 0 0 3
2.487, 36.11, 1000, 1 0 2
2.157, 41.88, 350, 1 1 0
2.148, 42.07, 143, 0 0 4
2.088, 43.33, 33, 1 0 3
1.723, 53.16, 22, 1 1 3
1.525, 60.72, 120, 2 0 0
1.522, 60.87, 196, 1 1 4
1.497, 61.99, 33, 1 0 5

Cell and atoms:
a b c (Å): 3.050 3.050 8.591
angles (deg): 90.00 90.00 90.00
Space group P4/mmm (No. 123)
Symmetry-distinct sites (fractional):
U  0.000  0.000  0.226 (multiplicity 2)
Os  0.500  0.500  0.000 (multiplicity 1)
Au  0.500  0.500  0.500 (multiplicity 1)